[1]
The following is a computed powder diffraction line list of K4Au6S5. It was derived from a PBE-relaxed structure, using Cu Kα (λ = 1.5418 Å).
Peak positions follow from Bragg's law for the DFT cell and can differ from measured ones.

Structural model:
Cell: 9.837 9.837 10.136 Å, 90.00 90.00 120.00°
Positions (direct):
K1 0.000 0.000 0.000
K2 0.000 0.000 0.500
K3 0.072 0.655 0.250
K4 0.345 0.417 0.250
K5 0.417 0.345 0.750
K6 0.583 0.928 0.250
K7 0.655 0.072 0.750
K8 0.928 0.583 0.750
Au1 0.167 0.450 0.588
Au2 0.167 0.450 0.912
Au3 0.283 0.833 0.588
Au4 0.283 0.833 0.912
Au5 0.450 0.167 0.088
Au6 0.450 0.167 0.412
Au7 0.550 0.717 0.588
Au8 0.550 0.717 0.912
Au9 0.717 0.550 0.088
Au10 0.717 0.550 0.412
Au11 0.833 0.283 0.088
Au12 0.833 0.283 0.412
S1 0.034 0.260 0.750
S2 0.225 0.966 0.750
S3 0.260 0.034 0.250
S4 0.333 0.667 0.046
S5 0.333 0.667 0.454
S6 0.667 0.333 0.546
S7 0.667 0.333 0.954
S8 0.740 0.775 0.750
S9 0.775 0.740 0.250
S10 0.966 0.225 0.250

Top 6 peaks for 2θ = 10–90°, sorted by position:
| d_spacing | Rel. int. |
| --- | --- |
| 8.519 | 65 |
| 6.522 | 100 |
| 3.220 | 74 |
| 3.141 | 83 |
| 3.069 | 76 |
| 2.331 | 85 |

=====

[2]
The following is a computed powder diffraction line list of Nb2CrB2. It was derived from a PBE-relaxed structure, using Cu Kα (λ = 1.5418 Å).
Peak positions follow from Bragg's law for the DFT cell and can differ from measured ones.

Structural model:
Cell: 5.962 5.962 3.264 Å, 90.00 90.00 90.00°
Positions (direct):
Nb1 0.181 0.319 0.000
Nb2 0.319 0.819 0.000
Nb3 0.681 0.181 0.000
Nb4 0.819 0.681 0.000
Cr1 0.000 0.000 0.500
Cr2 0.500 0.500 0.500
B1 0.110 0.610 0.500
B2 0.390 0.110 0.500
B3 0.610 0.890 0.500
B4 0.890 0.390 0.500

Top 6 peaks for 2θ = 10–90°, sorted by position:
| d_spacing | Rel. int. |
| --- | --- |
| 3.264 | 33 |
| 2.666 | 79 |
| 2.201 | 97 |
| 2.065 | 100 |
| 1.885 | 34 |
| 1.291 | 35 |

=====

[3]
The following is a computed powder diffraction line list of Sm2TlIn. It was derived from a PBE-relaxed structure, using Cu Kα (λ = 1.5418 Å).
Peak positions follow from Bragg's law for the DFT cell and can differ from measured ones.

Structural model:
Cell: 5.451 5.451 5.451 Å, 60.00 60.00 60.00°
Positions (direct):
Sm1 0.250 0.250 0.250
Sm2 0.750 0.750 0.750
Tl1 0.000 0.000 0.000
In1 0.500 0.500 0.500

Top 6 peaks for 2θ = 10–90°, sorted by position:
| d_spacing | Rel. int. |
| --- | --- |
| 2.725 | 100 |
| 1.927 | 18 |
| 1.573 | 38 |
| 1.363 | 12 |
| 1.219 | 16 |
| 1.113 | 4 |

=====

[4]
The following is a computed powder diffraction line list of Sr5As3H. It was derived from a PBE-relaxed structure, using Cu Kα (λ = 1.5418 Å).
Peak positions follow from Bragg's law for the DFT cell and can differ from measured ones.

Structural model:
Cell: 9.002 9.002 7.163 Å, 90.00 90.00 120.00°
Positions (direct):
Sr1 0.000 0.249 0.250
Sr2 0.000 0.751 0.750
Sr3 0.249 0.000 0.250
Sr4 0.249 0.249 0.750
Sr5 0.333 0.667 0.000
Sr6 0.333 0.667 0.500
Sr7 0.667 0.333 0.000
Sr8 0.667 0.333 0.500
Sr9 0.751 0.000 0.750
Sr10 0.751 0.751 0.250
As1 0.000 0.393 0.750
As2 0.000 0.607 0.250
As3 0.393 0.000 0.750
As4 0.393 0.393 0.250
As5 0.607 0.000 0.250
As6 0.607 0.607 0.750
H1 0.000 0.000 0.000
H2 0.000 0.000 0.500

Top 6 peaks for 2θ = 10–90°, sorted by position:
| d_spacing | Rel. int. |
| --- | --- |
| 2.947 | 28 |
| 2.802 | 97 |
| 2.725 | 100 |
| 2.599 | 48 |
| 1.855 | 32 |
| 1.474 | 24 |

=====

[5]
The following is a computed powder diffraction line list of LaAsS. It was derived from a PBE-relaxed structure, using Cu Kα (λ = 1.5418 Å).
Peak positions follow from Bragg's law for the DFT cell and can differ from measured ones.

Structural model:
Cell: 17.761 3.980 4.048 Å, 90.00 90.00 90.00°
Positions (direct):
La1 0.147 0.250 0.219
La2 0.353 0.750 0.719
La3 0.647 0.250 0.281
La4 0.853 0.750 0.781
As1 0.002 0.250 0.701
As2 0.498 0.750 0.201
As3 0.502 0.250 0.799
As4 0.998 0.750 0.299
S1 0.186 0.750 0.719
S2 0.314 0.250 0.219
S3 0.686 0.750 0.781
S4 0.814 0.250 0.281

Top 6 peaks for 2θ = 10–90°, sorted by position:
| d_spacing | Rel. int. |
| --- | --- |
| 3.684 | 38 |
| 3.632 | 42 |
| 2.960 | 45 |
| 2.703 | 57 |
| 2.391 | 100 |
| 1.990 | 20 |